Entry 1:
The following is a theoretical X-ray diffraction stick pattern of Nd2Hg3Au. It was derived from DFT lattice parameters and positions (PBE), using Cu Kα (λ = 1.5418 Å).

Structure:
```
Nd2Hg3Au
1.0
3.521 0.000 0.000
0.000 4.971 0.000
0.000 0.000 8.625
Nd Hg Au
2 3 1
direct
0.000 0.000 0.000 Nd
0.000 0.500 0.475 Nd
0.500 0.000 0.650 Hg
0.500 0.500 0.154 Hg
0.500 0.500 0.819 Hg
0.500 0.000 0.319 Au
```

Most intense lines, 2θ from 10° to 90°, in order of rising 2θ:
25.30 deg, I = 17
32.85 deg, I = 100
36.11 deg, I = 97
44.60 deg, I = 25
49.61 deg, I = 31
62.88 deg, I = 30
64.90 deg, I = 53
87.69 deg, I = 16


Entry 2:
The following is a theoretical X-ray diffraction stick pattern of La2YSi3Pt4. It was derived from DFT lattice parameters and positions (PBE), using Cu Kα (λ = 1.5418 Å).

Structure:
```
La2YSi3Pt4
1.0
4.312 0.000 0.000
0.000 4.312 0.000
0.000 0.000 10.906
La Y Si Pt
2 1 3 4
direct
0.000 0.500 0.229 La
0.500 0.000 0.771 La
0.000 0.000 0.500 Y
0.000 0.500 0.884 Si
0.500 0.000 0.116 Si
0.500 0.500 0.500 Si
0.000 0.000 0.000 Pt
0.000 0.500 0.662 Pt
0.500 0.000 0.338 Pt
0.500 0.500 0.000 Pt
```

Most intense lines, 2θ from 10° to 90°, in order of rising 2θ:
26.35 deg, I = 28
30.44 deg, I = 22
33.68 deg, I = 100
39.09 deg, I = 16
41.90 deg, I = 47
44.58 deg, I = 16
46.67 deg, I = 17
71.29 deg, I = 24


Entry 3:
The following is a theoretical X-ray diffraction stick pattern of Cs2NbCdS4. It was derived from DFT lattice parameters and positions (PBE), using Cu Kα (λ = 1.5418 Å).

Structure:
```
Cs2NbCdS4
1.0
0.000 7.128 12.364
3.308 0.000 12.364
3.308 7.128 0.000
Cs Nb Cd S
4 2 2 8
direct
0.052 0.052 0.698 Cs
0.302 0.302 0.948 Cs
0.698 0.698 0.052 Cs
0.948 0.948 0.302 Cs
0.375 0.375 0.375 Nb
0.625 0.625 0.625 Nb
0.125 0.125 0.125 Cd
0.875 0.875 0.875 Cd
0.012 0.635 0.553 S
0.299 0.553 0.635 S
0.365 0.988 0.701 S
0.447 0.701 0.988 S
0.553 0.299 0.012 S
0.635 0.012 0.299 S
0.701 0.447 0.365 S
0.988 0.365 0.447 S
```

Most intense lines, 2θ from 10° to 90°, in order of rising 2θ:
14.33 deg, I = 39
18.29 deg, I = 28
24.96 deg, I = 100
25.48 deg, I = 44
29.35 deg, I = 33
29.78 deg, I = 44
34.78 deg, I = 40
43.30 deg, I = 31


Entry 4:
The following is a theoretical X-ray diffraction stick pattern of Mg3Ru5. It was derived from DFT lattice parameters and positions (PBE), using Cu Kα (λ = 1.5418 Å).

Structure:
```
Mg3Ru5
1.0
7.709 0.000 0.000
-3.854 6.676 0.000
0.000 0.000 4.841
Mg Ru
6 10
direct
0.000 0.396 0.250 Mg
0.000 0.604 0.750 Mg
0.396 0.000 0.250 Mg
0.396 0.396 0.750 Mg
0.604 0.000 0.750 Mg
0.604 0.604 0.250 Mg
0.000 0.199 0.750 Ru
0.000 0.801 0.250 Ru
0.199 0.000 0.750 Ru
0.199 0.199 0.250 Ru
0.333 0.667 0.000 Ru
0.333 0.667 0.500 Ru
0.667 0.333 0.000 Ru
0.667 0.333 0.500 Ru
0.801 0.000 0.250 Ru
0.801 0.801 0.750 Ru
```

Most intense lines, 2θ from 10° to 90°, in order of rising 2θ:
23.08 deg, I = 42
35.58 deg, I = 66
39.61 deg, I = 55
40.31 deg, I = 100
44.18 deg, I = 40
51.01 deg, I = 27
61.50 deg, I = 27
63.90 deg, I = 25


Entry 5:
The following is a theoretical X-ray diffraction stick pattern of Pa2CuHgO8. It was derived from DFT lattice parameters and positions (PBE), using Cu Kα (λ = 1.5418 Å).

Structure:
```
Pa2CuHgO8
1.0
5.186 0.000 0.000
-2.593 4.492 0.000
0.000 0.000 6.532
Pa Cu Hg O
2 1 1 8
direct
0.333 0.667 0.350 Pa
0.667 0.333 0.650 Pa
0.000 0.000 0.500 Cu
0.000 0.000 0.000 Hg
0.173 0.346 0.663 O
0.173 0.827 0.663 O
0.333 0.667 0.063 O
0.346 0.173 0.337 O
0.654 0.827 0.663 O
0.667 0.333 0.937 O
0.827 0.173 0.337 O
0.827 0.654 0.337 O
```

Most intense lines, 2θ from 10° to 90°, in order of rising 2θ:
24.05 deg, I = 100
33.94 deg, I = 60
34.59 deg, I = 72
42.57 deg, I = 36
49.24 deg, I = 31
55.08 deg, I = 22
55.96 deg, I = 22
61.57 deg, I = 23


Entry 6:
The following is a theoretical X-ray diffraction stick pattern of AcMgSi2Os. It was derived from DFT lattice parameters and positions (PBE), using Cu Kα (λ = 1.5418 Å).

Structure:
```
AcMgSi2Os
1.0
4.249 0.000 0.000
0.000 4.249 0.000
0.000 0.000 11.069
Ac Mg Si Os
2 2 4 2
direct
0.000 0.000 0.000 Ac
0.500 0.500 0.500 Ac
0.000 0.500 0.750 Mg
0.500 0.000 0.250 Mg
0.000 0.000 0.376 Si
0.000 0.000 0.624 Si
0.500 0.500 0.124 Si
0.500 0.500 0.876 Si
0.000 0.500 0.250 Os
0.500 0.000 0.750 Os
```

Most intense lines, 2θ from 10° to 90°, in order of rising 2θ:
22.41 deg, I = 85
32.13 deg, I = 58
33.95 deg, I = 100
42.55 deg, I = 34
46.24 deg, I = 22
48.61 deg, I = 23
54.30 deg, I = 27
72.36 deg, I = 23


Entry 7:
The following is a theoretical X-ray diffraction stick pattern of Li5Sn5P6O24. It was derived from DFT lattice parameters and positions (PBE), using Cu Kα (λ = 1.5418 Å).

Structure:
```
Li5Sn5P6O24
1.0
8.607 0.000 0.000
-4.289 7.793 0.000
-3.774 -2.710 8.315
Li Sn P O
5 5 6 24
direct
0.000 0.000 0.000 Li
0.045 0.252 0.509 Li
0.462 0.973 0.552 Li
0.573 0.400 0.484 Li
0.880 0.339 0.755 Li
0.100 0.432 0.178 Sn
0.143 0.919 0.710 Sn
0.489 0.622 0.756 Sn
0.537 0.093 0.224 Sn
0.759 0.722 0.166 Sn
0.232 0.312 0.881 P
0.233 0.090 0.402 P
0.639 0.049 0.896 P
0.691 0.861 0.454 P
0.909 0.629 0.874 P
0.932 0.526 0.412 P
0.029 0.555 0.975 O
0.031 0.663 0.577 O
0.047 0.978 0.229 O
0.050 0.440 0.418 O
0.058 0.830 0.884 O
0.084 0.318 0.728 O
0.152 0.256 0.001 O
0.203 0.980 0.521 O
0.270 0.275 0.457 O
0.298 0.185 0.841 O
0.408 0.932 0.846 O
0.424 0.113 0.402 O
0.433 0.511 0.958 O
0.508 0.805 0.477 O
0.643 0.697 0.332 O
0.670 0.129 0.765 O
0.701 0.907 0.915 O
0.709 0.377 0.367 O
0.753 0.030 0.391 O
0.766 0.502 0.702 O
0.767 0.194 0.064 O
0.776 0.648 0.941 O
0.879 0.911 0.616 O
0.925 0.612 0.272 O
```

Most intense lines, 2θ from 10° to 90°, in order of rising 2θ:
19.98 deg, I = 100
20.68 deg, I = 35
23.94 deg, I = 30
28.77 deg, I = 42
28.92 deg, I = 34
29.72 deg, I = 44
30.10 deg, I = 34
35.81 deg, I = 37


Entry 8:
The following is a theoretical X-ray diffraction stick pattern of Ba2Zn3CdPt4. It was derived from DFT lattice parameters and positions (PBE), using Cu Kα (λ = 1.5418 Å).

Structure:
```
Ba2Zn3CdPt4
1.0
4.453 0.000 0.000
0.000 4.453 0.000
0.000 0.000 11.089
Ba Zn Cd Pt
2 3 1 4
direct
0.000 0.500 0.240 Ba
0.500 0.000 0.760 Ba
0.000 0.500 0.880 Zn
0.500 0.000 0.120 Zn
0.500 0.500 0.500 Zn
0.000 0.000 0.500 Cd
0.000 0.000 0.000 Pt
0.000 0.500 0.646 Pt
0.500 0.000 0.354 Pt
0.500 0.500 0.000 Pt
```

Most intense lines, 2θ from 10° to 90°, in order of rising 2θ:
31.45 deg, I = 35
32.71 deg, I = 100
40.52 deg, I = 61
43.49 deg, I = 34
45.70 deg, I = 24
58.64 deg, I = 20
62.70 deg, I = 19
68.79 deg, I = 23